1.
Starting from a structure optimized by DFT (PBE), the XRD peak list of K3MnS4 was simulated for Cu Kα X-rays.
Kinematic intensities with the Lorentz-polarization factor, no thermal factor.

Principal peaks in the range 5° ≤ 2θ ≤ 70°, in order of rising 2θ:
| d_spacing | Position (°2θ) | I_rel |
| --- | --- | --- |
| 5.546 | 15.98 | 948 |
| 5.289 | 16.76 | 257 |
| 3.486 | 25.56 | 372 |
| 3.461 | 25.74 | 381 |
| 3.257 | 27.38 | 663 |
| 2.966 | 30.14 | 500 |
| 2.899 | 30.85 | 315 |
| 2.821 | 31.72 | 267 |
| 2.794 | 32.03 | 1000 |
| 2.675 | 33.50 | 427 |
| 2.645 | 33.90 | 279 |
| 2.305 | 39.08 | 301 |

Cell and atoms:
abc: 9.1554 10.5788 9.2682
angles: 90.00 90.00 90.00
Fractional positions:
K  0.0519  0.0451  0.2038
K  0.0519  0.4549  0.2038
K  0.1406  0.7500  0.4189
K  0.3594  0.2500  0.9189
K  0.4481  0.5451  0.7038
K  0.4481  0.9549  0.7038
K  0.5519  0.0451  0.2962
K  0.5519  0.4549  0.2962
K  0.6406  0.7500  0.0811
K  0.8594  0.2500  0.5811
K  0.9481  0.5451  0.7962
K  0.9481  0.9549  0.7962
Mn  0.2210  0.7500  0.9840
Mn  0.2790  0.2500  0.4840
Mn  0.7210  0.7500  0.5160
Mn  0.7790  0.2500  0.0160
S  0.0099  0.7500  0.0800
S  0.1658  0.0841  0.5447
S  0.1658  0.4159  0.5447
S  0.1985  0.7500  0.7565
S  0.3015  0.2500  0.2565
S  0.3342  0.5841  0.0447
S  0.3342  0.9159  0.0447
S  0.4901  0.2500  0.5800
S  0.5099  0.7500  0.4200
S  0.6658  0.0841  0.9553
S  0.6658  0.4159  0.9553
S  0.6985  0.7500  0.7435
S  0.8015  0.2500  0.2435
S  0.8342  0.5841  0.4553
S  0.8342  0.9159  0.4553
S  0.9901  0.2500  0.9200


2.
Starting from a structure optimized by DFT (PBE), the XRD peak list of KMnS3 was simulated for Cu Kα X-rays.
Kinematic intensities with the Lorentz-polarization factor, no thermal factor.

Principal peaks in the range 5° ≤ 2θ ≤ 70°, in order of rising 2θ:
| d_spacing | Position (°2θ) | I_rel |
| --- | --- | --- |
| 6.879 | 12.87 | 1000 |
| 5.168 | 17.16 | 358 |
| 4.741 | 18.72 | 777 |
| 3.710 | 23.99 | 760 |
| 3.082 | 28.97 | 452 |
| 2.647 | 33.86 | 609 |
| 2.371 | 37.95 | 363 |
| 2.295 | 39.25 | 512 |
| 2.241 | 40.24 | 545 |
| 1.979 | 45.85 | 450 |
| 1.840 | 49.55 | 623 |
| 1.541 | 60.04 | 448 |

Cell and atoms:
abc: 7.7452 7.7452 7.7452
angles: 46.90 46.90 46.90
Fractional positions:
K  0.1182  0.1182  0.1182
K  0.8818  0.8818  0.8818
Mn  0.3350  0.3350  0.3350
Mn  0.6650  0.6650  0.6650
S  0.0640  0.5700  0.5700
S  0.4300  0.4300  0.9360
S  0.4300  0.9360  0.4300
S  0.5700  0.0640  0.5700
S  0.5700  0.5700  0.0640
S  0.9360  0.4300  0.4300


3.
Starting from a structure optimized by DFT (PBE), the XRD peak list of K5MnS4 was simulated for Cu Kα X-rays.
Kinematic intensities with the Lorentz-polarization factor, no thermal factor.

Principal peaks in the range 5° ≤ 2θ ≤ 70°, in order of rising 2θ:
| d_spacing | Position (°2θ) | I_rel |
| --- | --- | --- |
| 6.851 | 12.92 | 321 |
| 5.681 | 15.60 | 669 |
| 3.960 | 22.45 | 727 |
| 3.670 | 24.25 | 557 |
| 3.497 | 25.47 | 368 |
| 2.953 | 30.27 | 1000 |
| 2.826 | 31.66 | 381 |
| 2.716 | 32.98 | 360 |
| 2.446 | 36.74 | 930 |
| 2.402 | 37.43 | 470 |
| 1.863 | 48.87 | 352 |
| 1.752 | 52.20 | 246 |

Cell and atoms:
abc: 9.6097 9.7711 6.9938
angles: 90.00 90.00 90.00
Fractional positions:
K  0.0184  0.0586  0.2407
K  0.0184  0.4414  0.2407
K  0.2500  0.7500  0.3555
K  0.4816  0.0586  0.2407
K  0.4816  0.4414  0.2407
K  0.5184  0.5586  0.7593
K  0.5184  0.9414  0.7593
K  0.7500  0.2500  0.6445
K  0.9816  0.5586  0.7593
K  0.9816  0.9414  0.7593
Mn  0.2500  0.2500  0.7157
Mn  0.7500  0.7500  0.2843
S  0.0337  0.2500  0.8675
S  0.2500  0.0381  0.5600
S  0.2500  0.4619  0.5600
S  0.4663  0.2500  0.8675
S  0.5337  0.7500  0.1325
S  0.7500  0.5381  0.4400
S  0.7500  0.9619  0.4400
S  0.9663  0.7500  0.1325


4.
Starting from a structure optimized by DFT (PBE), the XRD peak list of K2Mn3S4 was simulated for Cu Kα X-rays.
Kinematic intensities with the Lorentz-polarization factor, no thermal factor.

Principal peaks in the range 5° ≤ 2θ ≤ 70°, in order of rising 2θ:
| d_spacing | Position (°2θ) | I_rel |
| --- | --- | --- |
| 6.757 | 13.10 | 657 |
| 5.197 | 17.06 | 136 |
| 5.136 | 17.26 | 181 |
| 3.379 | 26.38 | 145 |
| 3.025 | 29.53 | 1000 |
| 2.751 | 32.55 | 448 |
| 2.568 | 34.94 | 264 |
| 2.248 | 40.11 | 186 |
| 2.041 | 44.37 | 409 |
| 1.804 | 50.60 | 266 |
| 1.749 | 52.32 | 264 |
| 1.741 | 52.55 | 130 |

Cell and atoms:
abc: 7.3045 6.0239 11.1062
angles: 90.00 112.32 90.00
Fractional positions:
K  0.0000  0.0000  0.0000
K  0.0000  0.0000  0.5000
K  0.0000  0.4977  0.2500
K  0.0000  0.5023  0.7500
Mn  0.4992  0.2500  0.0301
Mn  0.4992  0.7500  0.5301
Mn  0.5000  0.2494  0.7500
Mn  0.5000  0.7506  0.2500
Mn  0.5008  0.2500  0.4699
Mn  0.5008  0.7500  0.9699
S  0.2914  0.0329  0.8327
S  0.2913  0.4654  0.5629
S  0.2913  0.5346  0.0629
S  0.2914  0.9671  0.3327
S  0.7086  0.0329  0.6673
S  0.7087  0.4654  0.9371
S  0.7087  0.5346  0.4371
S  0.7086  0.9671  0.1673


5.
Starting from a structure optimized by DFT (PBE), the XRD peak list of KMn4S8 was simulated for Cu Kα X-rays.
Kinematic intensities with the Lorentz-polarization factor, no thermal factor.

Principal peaks in the range 5° ≤ 2θ ≤ 70°, in order of rising 2θ:
| d_spacing | Position (°2θ) | I_rel |
| --- | --- | --- |
| 7.900 | 11.20 | 1000 |
| 3.950 | 22.51 | 30 |
| 2.877 | 31.08 | 45 |
| 2.604 | 34.45 | 390 |
| 2.202 | 40.99 | 197 |
| 2.072 | 43.69 | 87 |
| 1.835 | 49.69 | 56 |
| 1.729 | 52.95 | 86 |
| 1.673 | 54.86 | 115 |
| 1.637 | 56.18 | 77 |
| 1.462 | 63.66 | 55 |
| 1.408 | 66.41 | 48 |

Cell and atoms:
abc: 8.7948 8.7948 8.7948
angles: 44.74 44.74 44.74
Fractional positions:
K  0.0000  0.0000  0.0000
Mn  0.0000  0.0000  0.5000
Mn  0.0000  0.5000  0.0000
Mn  0.5000  0.0000  0.0000
Mn  0.5000  0.5000  0.5000
S  0.2224  0.2224  0.2224
S  0.2231  0.7217  0.7217
S  0.2784  0.2783  0.7769
S  0.2784  0.7769  0.2784
S  0.7217  0.2231  0.7217
S  0.7217  0.7216  0.2231
S  0.7769  0.2784  0.2783
S  0.7776  0.7776  0.7776


6.
Starting from a structure optimized by DFT (PBE), the XRD peak list of K2Mn3S6 was simulated for Cu Kα X-rays.
Kinematic intensities with the Lorentz-polarization factor, no thermal factor.

Principal peaks in the range 5° ≤ 2θ ≤ 70°, in order of rising 2θ:
| d_spacing | Position (°2θ) | I_rel |
| --- | --- | --- |
| 7.409 | 11.95 | 937 |
| 3.704 | 24.02 | 97 |
| 2.619 | 34.24 | 1000 |
| 2.169 | 41.65 | 239 |
| 2.029 | 44.67 | 243 |
| 1.779 | 51.35 | 123 |
| 1.714 | 53.46 | 296 |
| 1.670 | 54.98 | 199 |
| 1.556 | 59.41 | 42 |
| 1.434 | 65.03 | 129 |
| 1.400 | 66.82 | 106 |
| 1.345 | 69.96 | 46 |

Cell and atoms:
abc: 5.9375 5.9375 7.6691
angles: 97.42 97.42 119.99
Fractional positions:
K  0.1667  0.8333  0.0000
K  0.8333  0.1667  0.0000
Mn  0.0000  0.0000  0.5000
Mn  0.3323  0.6677  0.5000
Mn  0.6677  0.3323  0.5000
S  0.0594  0.3906  0.6718
S  0.2781  0.2781  0.3278
S  0.3906  0.0594  0.6718
S  0.6094  0.9406  0.3282
S  0.7219  0.7219  0.6722
S  0.9406  0.6094  0.3282


7.
Starting from a structure optimized by DFT (PBE), the XRD peak list of K2Sc2MnS6 was simulated for Cu Kα X-rays.
Kinematic intensities with the Lorentz-polarization factor, no thermal factor.

Principal peaks in the range 5° ≤ 2θ ≤ 70°, in order of rising 2θ:
| d_spacing | Position (°2θ) | I_rel |
| --- | --- | --- |
| 7.493 | 11.81 | 885 |
| 5.335 | 16.62 | 157 |
| 2.788 | 32.11 | 502 |
| 2.750 | 32.56 | 1000 |
| 2.277 | 39.59 | 100 |
| 2.247 | 40.14 | 170 |
| 2.108 | 42.90 | 262 |
| 2.094 | 43.20 | 140 |
| 1.836 | 49.67 | 292 |
| 1.823 | 50.04 | 141 |
| 1.722 | 53.20 | 93 |
| 1.526 | 60.70 | 134 |

Cell and atoms:
abc: 6.3296 6.3296 7.8154
angles: 98.23 98.23 119.53
Fractional positions:
K  0.1714  0.8286  0.0000
K  0.8286  0.1714  0.0000
Sc  0.3326  0.6674  0.5000
Sc  0.6674  0.3326  0.5000
Mn  0.0000  0.0000  0.5000
S  0.0659  0.3756  0.6841
S  0.2462  0.2462  0.3176
S  0.3756  0.0659  0.6841
S  0.6244  0.9341  0.3159
S  0.7538  0.7538  0.6824
S  0.9341  0.6244  0.3159


8.
Starting from a structure optimized by DFT (PBE), the XRD peak list of K10Mn4Sn4S17 was simulated for Cu Kα X-rays.
Kinematic intensities with the Lorentz-polarization factor, no thermal factor.

Principal peaks in the range 5° ≤ 2θ ≤ 70°, in order of rising 2θ:
| d_spacing | Position (°2θ) | I_rel |
| --- | --- | --- |
| 10.157 | 8.71 | 797 |
| 5.842 | 15.17 | 609 |
| 5.079 | 17.46 | 1000 |
| 3.612 | 24.64 | 893 |
| 3.570 | 24.94 | 845 |
| 3.223 | 27.67 | 325 |
| 3.201 | 27.87 | 385 |
| 3.059 | 29.19 | 692 |
| 2.408 | 37.34 | 419 |
| 2.381 | 37.78 | 387 |
| 1.806 | 50.53 | 414 |
| 1.785 | 51.18 | 569 |

Cell and atoms:
abc: 10.1589 10.1589 10.1589
angles: 89.32 89.32 89.32
Fractional positions:
K  0.0000  0.0000  0.0000
K  0.0168  0.3414  0.3414
K  0.1747  0.6735  0.6735
K  0.1762  0.1762  0.7095
K  0.1762  0.7095  0.1762
K  0.3414  0.0168  0.3414
K  0.3414  0.3414  0.0168
K  0.6735  0.1747  0.6735
K  0.6735  0.6735  0.1747
K  0.7095  0.1762  0.1762
Mn  0.5379  0.5379  0.8117
Mn  0.5379  0.8117  0.5379
Mn  0.8089  0.8089  0.8089
Mn  0.8117  0.5379  0.5379
Sn  0.4468  0.8993  0.8993
Sn  0.4512  0.4512  0.4512
Sn  0.8993  0.4468  0.8993
Sn  0.8993  0.8993  0.4468
S  0.0301  0.0301  0.3036
S  0.0301  0.3036  0.0301
S  0.3036  0.0301  0.0301
S  0.3188  0.3188  0.3188
S  0.3991  0.6693  0.9508
S  0.3991  0.9508  0.6693
S  0.4010  0.4010  0.6823
S  0.4010  0.6823  0.4010
S  0.6693  0.3991  0.9508
S  0.6693  0.9508  0.3991
S  0.6744  0.6744  0.6744
S  0.6761  0.9482  0.9482
S  0.6823  0.4010  0.4010
S  0.9482  0.6761  0.9482
S  0.9482  0.9482  0.6761
S  0.9508  0.3991  0.6693
S  0.9508  0.6693  0.3991


9.
Starting from a structure optimized by DFT (PBE), the XRD peak list of KMnSn2S6 was simulated for Cu Kα X-rays.
Kinematic intensities with the Lorentz-polarization factor, no thermal factor.

Principal peaks in the range 5° ≤ 2θ ≤ 70°, in order of rising 2θ:
| d_spacing | Position (°2θ) | I_rel |
| --- | --- | --- |
| 7.224 | 12.25 | 399 |
| 4.625 | 19.19 | 674 |
| 4.472 | 19.85 | 343 |
| 4.367 | 20.34 | 1000 |
| 4.153 | 21.39 | 981 |
| 3.612 | 24.65 | 459 |
| 3.203 | 27.86 | 609 |
| 3.011 | 29.67 | 400 |
| 2.810 | 31.85 | 263 |
| 2.407 | 37.36 | 291 |
| 2.330 | 38.64 | 277 |
| 2.036 | 44.49 | 449 |

Cell and atoms:
abc: 9.6998 9.6998 6.6767
angles: 104.18 104.18 76.74
Fractional positions:
K  0.1122  0.8878  0.7500
K  0.8878  0.1122  0.2500
Mn  0.2409  0.7591  0.2500
Mn  0.7591  0.2409  0.7500
Sn  0.1811  0.3781  0.8169
Sn  0.3781  0.1811  0.3169
Sn  0.6219  0.8189  0.6831
Sn  0.8189  0.6219  0.1831
S  0.0240  0.7623  0.2685
S  0.1846  0.3737  0.4424
S  0.2377  0.9760  0.2315
S  0.2802  0.6084  0.9726
S  0.3737  0.1846  0.9424
S  0.3916  0.7198  0.5274
S  0.6084  0.2802  0.4726
S  0.6263  0.8154  0.0576
S  0.7198  0.3916  0.0274
S  0.7623  0.0240  0.7685
S  0.8154  0.6263  0.5576
S  0.9760  0.2377  0.7315


10.
Starting from a structure optimized by DFT (PBE), the XRD peak list of K2TaMnS5 was simulated for Cu Kα X-rays.
Kinematic intensities with the Lorentz-polarization factor, no thermal factor.

Principal peaks in the range 5° ≤ 2θ ≤ 70°, in order of rising 2θ:
| d_spacing | Position (°2θ) | I_rel |
| --- | --- | --- |
| 9.387 | 9.42 | 826 |
| 7.696 | 11.50 | 716 |
| 6.720 | 13.17 | 775 |
| 5.464 | 16.22 | 857 |
| 3.474 | 25.65 | 306 |
| 3.166 | 28.19 | 274 |
| 3.078 | 29.01 | 343 |
| 3.047 | 29.31 | 551 |
| 2.804 | 31.91 | 1000 |
| 2.443 | 36.79 | 336 |
| 2.153 | 41.96 | 284 |
| 1.819 | 50.14 | 310 |

Cell and atoms:
abc: 9.5639 9.5639 13.4409
angles: 90.00 90.00 157.92
Fractional positions:
K  0.1171  0.8829  0.5000
K  0.1229  0.8771  0.1274
K  0.8771  0.1229  0.6274
K  0.8829  0.1171  0.0000
Ta  0.2149  0.7851  0.8424
Ta  0.7851  0.2149  0.3424
Mn  0.4279  0.5721  0.2560
Mn  0.5721  0.4279  0.7560
S  0.0701  0.9299  0.8571
S  0.2897  0.7103  0.4660
S  0.3065  0.6935  0.2134
S  0.3340  0.6660  0.8163
S  0.4872  0.5128  0.1197
S  0.5128  0.4872  0.6197
S  0.6660  0.3340  0.3163
S  0.6935  0.3065  0.7134
S  0.7103  0.2897  0.9660
S  0.9299  0.0701  0.3571


11.
Starting from a structure optimized by DFT (PBE), the XRD peak list of K2TbMnS4 was simulated for Cu Kα X-rays.
Kinematic intensities with the Lorentz-polarization factor, no thermal factor.

Principal peaks in the range 5° ≤ 2θ ≤ 70°, in order of rising 2θ:
| d_spacing | Position (°2θ) | I_rel |
| --- | --- | --- |
| 6.572 | 13.47 | 760 |
| 5.970 | 14.84 | 178 |
| 3.487 | 25.55 | 238 |
| 3.387 | 26.31 | 313 |
| 3.286 | 27.14 | 237 |
| 2.985 | 29.93 | 631 |
| 2.844 | 31.46 | 1000 |
| 2.566 | 34.96 | 165 |
| 2.059 | 43.98 | 883 |
| 1.968 | 46.12 | 170 |
| 1.694 | 54.15 | 154 |
| 1.643 | 55.96 | 181 |

Cell and atoms:
abc: 8.2497 8.2497 8.2497
angles: 123.00 120.18 87.28
Fractional positions:
K  0.0000  0.0000  0.0000
K  0.5000  0.0000  0.0000
K  0.5000  0.0000  0.5000
K  0.5000  0.5000  0.5000
Tb  0.0000  0.5000  0.5000
Tb  0.5000  0.5000  0.0000
Mn  0.0000  0.0000  0.5000
Mn  0.0000  0.5000  0.0000
S  0.1756  0.7391  0.4366
S  0.1975  0.2609  0.9366
S  0.2422  0.2666  0.5244
S  0.2422  0.7179  0.9756
S  0.7578  0.2821  0.0244
S  0.7578  0.7334  0.4756
S  0.8025  0.7391  0.0634
S  0.8244  0.2609  0.5634